Simulated powder diffractogram of FePH5CO4 for Cu Ka, from the GGA+U geometry in the Materials Project.

Principal peaks in the range 2θ = 10–90°, low angle first:
- hkl 0 0 2, 18.14°, rel. 44.4
- hkl 1 1 -1, 20.80°, rel. 52.0
- hkl 1 -2 0, 25.61°, rel. 45.0
- hkl 1 2 0, 26.17°, rel. 43.6
- hkl 0 2 2, 30.81°, rel. 100.0
- hkl 1 1 -3, 30.90°, rel. 37.2
- hkl 1 3 -1, 31.35°, rel. 70.8
- hkl 2 0 0, 37.08°, rel. 26.6
- hkl 1 2 -4, 38.22°, rel. 41.4
- hkl 1 -2 4, 38.61°, rel. 38.1

Structural model:
```
48
Lattice="4.846 0.000 0.000 -0.159 10.754 0.000 -0.133 -4.476 9.780" Properties=species:S:1:pos:R:3 pbc="T T T"
Fe 0.000 0.000 0.000
Fe -0.117 3.140 4.887
Fe 2.346 1.160 2.701
Fe 2.227 4.319 7.578
P 1.958 9.102 1.023
P 2.006 1.492 5.933
P 4.455 2.805 1.652
P 4.338 5.951 6.530
H 0.520 7.499 2.088
H 0.554 -0.115 6.954
H 1.941 -3.581 8.271
H 1.951 4.021 3.381
H 1.957 -2.755 9.604
H 1.982 4.844 4.711
H 2.050 6.754 1.532
H 2.083 -0.867 6.405
H 2.033 7.751 3.017
H 2.057 0.111 7.902
H 3.017 4.415 0.594
H 2.898 7.558 5.493
H 4.405 -0.597 2.879
H 4.278 2.564 7.761
H 4.329 3.449 9.054
H 4.486 0.288 4.167
H 4.415 -0.282 9.471
H 4.530 5.165 1.191
H 4.426 7.357 4.584
H 4.562 -2.433 6.088
C 1.607 7.636 2.012
C 1.642 0.011 6.891
C 4.103 4.287 0.689
C 3.985 7.442 5.584
O 1.121 2.638 1.769
O 1.002 5.786 6.670
O 1.139 4.452 9.408
O 1.388 -0.422 1.686
O 1.334 1.339 4.526
O 1.267 2.702 6.609
O 1.359 -3.098 8.899
O 1.373 4.504 4.014
O 3.470 9.294 0.943
O 3.518 1.687 5.855
O 3.752 1.582 0.964
O 3.647 4.744 5.815
O 3.750 2.955 3.046
O 3.611 6.077 7.921
O 3.711 2.954 8.463
O 3.858 -0.216 3.601
```